The following is a simulated X-ray powder pattern of Rb3La2TmTe6. It was derived from the PBE geometry in Alexandria, using copper Kα.

Atomic structure:
```
12
Lattice="4.034 -6.987 0.000 4.034 6.987 0.000 -2.696 0.000 8.542" Properties=species:S:1:pos:R:3 pbc="T T T"
Rb 0.000 0.000 0.000
Rb 4.034 2.375 0.000
Rb 4.034 -2.375 0.000
La 2.686 4.664 4.271
La 2.686 -4.664 4.271
Tm 2.686 0.000 4.271
Te 1.398 2.235 2.541
Te 0.108 0.000 6.010
Te 1.398 -2.235 2.541
Te 3.975 2.235 6.002
Te 5.264 0.000 2.533
Te 3.975 -2.235 6.002
```

The 8 most intense peaks (10 to 90 degrees two-theta), by angle:
10.36°, intensity 22
26.10°, intensity 100
33.04°, intensity 12
35.79°, intensity 34
38.66°, intensity 37
47.25°, intensity 19
53.69°, intensity 12
62.63°, intensity 16